Entry 1:
For Bi3P2O10, a DFT-relaxed cell (PBE, Alexandria) gives the simulated powder diffractogram in this record (Cu Kα).
Neutral-atom scattering factors, no anomalous dispersion.

```
data_Bi3P2O10
_chemical_formula_sum 'Bi6 P4 O20'
_cell_length_a 6.9269
_cell_length_b 7.2070
_cell_length_c 9.3183
_cell_angle_alpha 112.16
_cell_angle_beta 106.51
_cell_angle_gamma 91.04
_symmetry_space_group_name_H-M 'P 1'
_symmetry_Int_Tables_number 1
loop_
_symmetry_equiv_pos_as_xyz
'x,y,z'
loop_
_atom_site_label
_atom_site_fract_x
_atom_site_fract_y
_atom_site_fract_z
_atom_site_occupancy
Bi1 0.1950 0.3276 0.3993 1
Bi2 0.2253 0.1054 0.9773 1
Bi3 0.2758 0.7283 0.1988 1
Bi4 0.7242 0.2717 0.8012 1
Bi5 0.7747 0.8946 0.0227 1
Bi6 0.8050 0.6724 0.6007 1
P1 0.2265 0.4635 0.7935 1
P2 0.3155 0.8626 0.6003 1
P3 0.6845 0.1374 0.3997 1
P4 0.7735 0.5365 0.2065 1
O1 0.0677 0.4838 0.6451 1
O2 0.1047 0.9725 0.1319 1
O3 0.1144 0.3356 0.8565 1
O4 0.1332 0.8778 0.6662 1
O5 0.2158 0.3830 0.1830 1
O6 0.2710 0.9299 0.4547 1
O7 0.3194 0.6712 0.9390 1
O8 0.3812 0.6484 0.5416 1
O9 0.3889 0.3554 0.7227 1
O10 0.4999 0.0017 0.2513 1
O11 0.5001 0.9983 0.7487 1
O12 0.6111 0.6446 0.2773 1
O13 0.6188 0.3516 0.4584 1
O14 0.6806 0.3288 0.0610 1
O15 0.7290 0.0701 0.5453 1
O16 0.7842 0.6170 0.8170 1
O17 0.8668 0.1222 0.3338 1
O18 0.8856 0.6644 0.1435 1
O19 0.8953 0.0275 0.8681 1
O20 0.9323 0.5162 0.3549 1
```

Top 6 peaks for 2θ from 10° to 80°, sorted by position:
Position (°2θ)	I/Imax
20.4	61.5
27.1	100.0
28.1	90.6
28.4	87.4
29.0	57.5
29.9	58.2

---

Entry 2:
For Bi6P4PbO20, a DFT-relaxed cell (PBE, Alexandria) gives the simulated powder diffractogram in this record (Cu Kα).
Neutral-atom scattering factors, no anomalous dispersion.

```
data_Bi6P4PbO20
_chemical_formula_sum 'Bi6 P4 Pb1 O20'
_cell_length_a 7.0711
_cell_length_b 7.7547
_cell_length_c 9.2799
_cell_angle_alpha 107.01
_cell_angle_beta 93.25
_cell_angle_gamma 111.81
_symmetry_space_group_name_H-M 'P 1'
_symmetry_Int_Tables_number 1
loop_
_symmetry_equiv_pos_as_xyz
'x,y,z'
loop_
_atom_site_label
_atom_site_fract_x
_atom_site_fract_y
_atom_site_fract_z
_atom_site_occupancy
Bi1 0.0578 0.2042 0.4091 1
Bi2 0.1699 0.8751 0.9915 1
Bi3 0.3048 0.3045 0.8253 1
Bi4 0.6952 0.6955 0.1747 1
Bi5 0.8301 0.1249 0.0085 1
Bi6 0.9422 0.7958 0.5909 1
P1 0.1514 0.6010 0.2426 1
P2 0.4541 0.7321 0.7457 1
P3 0.5459 0.2679 0.2543 1
P4 0.8486 0.3990 0.7574 1
Pb1 0.5000 0.0000 0.5000 1
O1 0.0157 0.3723 0.8555 1
O2 0.0530 0.0263 0.8625 1
O3 0.1159 0.3796 0.1893 1
O4 0.1450 0.6751 0.4158 1
O5 0.1767 0.0949 0.5975 1
O6 0.2906 0.8234 0.7436 1
O7 0.3528 0.5034 0.6721 1
O8 0.3678 0.7283 0.2173 1
O9 0.3761 0.1750 0.3414 1
O10 0.4499 0.2084 0.0815 1
O11 0.5501 0.7916 0.9185 1
O12 0.6239 0.8250 0.6586 1
O13 0.6322 0.2717 0.7827 1
O14 0.6472 0.4966 0.3279 1
O15 0.7094 0.1766 0.2564 1
O16 0.8233 0.9051 0.4025 1
O17 0.8550 0.3249 0.5842 1
O18 0.8841 0.6204 0.8107 1
O19 0.9470 0.9737 0.1375 1
O20 0.9843 0.6277 0.1445 1
```

Top 6 peaks for 2θ from 10° to 80°, sorted by position:
Position (°2θ)	I/Imax
27.1	100.0
27.3	70.8
27.8	68.1
31.3	49.8
32.1	42.5
32.5	49.3

---

Entry 3:
For Pr3BiPO, a DFT-relaxed cell (PBE, Alexandria) gives the simulated powder diffractogram in this record (Cu Kα).
Neutral-atom scattering factors, no anomalous dispersion.

```
data_Pr3BiPO
_chemical_formula_sum 'Pr6 Bi2 P2 O2'
_cell_length_a 8.9706
_cell_length_b 4.2632
_cell_length_c 9.3272
_cell_angle_alpha 90.00
_cell_angle_beta 102.85
_cell_angle_gamma 90.00
_symmetry_space_group_name_H-M 'P 1'
_symmetry_Int_Tables_number 1
loop_
_symmetry_equiv_pos_as_xyz
'x,y,z'
loop_
_atom_site_label
_atom_site_fract_x
_atom_site_fract_y
_atom_site_fract_z
_atom_site_occupancy
Pr1 0.0686 0.2500 0.3432 1
Pr2 0.3289 0.2500 0.9764 1
Pr3 0.3836 0.7500 0.6484 1
Pr4 0.6164 0.2500 0.3516 1
Pr5 0.6711 0.7500 0.0236 1
Pr6 0.9314 0.7500 0.6568 1
Bi1 0.3196 0.7500 0.2716 1
Bi2 0.6804 0.2500 0.7284 1
P1 0.1583 0.2500 0.6592 1
P2 0.8417 0.7500 0.3408 1
O1 0.4115 0.7500 0.9091 1
O2 0.5885 0.2500 0.0909 1
```

Top 6 peaks for 2θ from 10° to 80°, sorted by position:
Position (°2θ)	I/Imax
10.1	22.6
15.5	20.9
29.0	35.7
29.3	27.1
29.4	100.0
38.0	27.3

---

Entry 4:
For BiP2RhO8, a DFT-relaxed cell (PBE, Alexandria) gives the simulated powder diffractogram in this record (Cu Kα).
Neutral-atom scattering factors, no anomalous dispersion.

```
data_BiP2RhO8
_chemical_formula_sum 'Bi1 P2 Rh1 O8'
_cell_length_a 7.7864
_cell_length_b 7.7864
_cell_length_c 7.7864
_cell_angle_alpha 35.60
_cell_angle_beta 35.60
_cell_angle_gamma 35.60
_symmetry_space_group_name_H-M 'P 1'
_symmetry_Int_Tables_number 1
loop_
_symmetry_equiv_pos_as_xyz
'x,y,z'
loop_
_atom_site_label
_atom_site_fract_x
_atom_site_fract_y
_atom_site_fract_z
_atom_site_occupancy
Bi1 0.0000 0.0000 0.0000 1
P1 0.2498 0.2498 0.2498 1
P2 0.7502 0.7502 0.7502 1
Rh1 0.5000 0.5000 0.5000 1
O1 0.0928 0.4720 0.7449 1
O2 0.2551 0.5280 0.9072 1
O3 0.3216 0.3216 0.3216 1
O4 0.4720 0.7449 0.0928 1
O5 0.5280 0.9072 0.2551 1
O6 0.6784 0.6784 0.6784 1
O7 0.7449 0.0928 0.4720 1
O8 0.9072 0.2551 0.5280 1
```

Top 6 peaks for 2θ from 10° to 80°, sorted by position:
Position (°2θ)	I/Imax
23.1	48.4
27.1	100.0
37.8	39.2
39.6	30.0
45.5	34.9
47.1	28.4

---

Entry 5:
For BiPRuO2, a DFT-relaxed cell (PBE, Alexandria) gives the simulated powder diffractogram in this record (Cu Kα).
Neutral-atom scattering factors, no anomalous dispersion.

```
data_BiPRuO2
_chemical_formula_sum 'Bi1 P1 Ru1 O2'
_cell_length_a 3.9490
_cell_length_b 3.9490
_cell_length_c 4.9999
_cell_angle_alpha 90.00
_cell_angle_beta 90.00
_cell_angle_gamma 90.00
_symmetry_space_group_name_H-M 'P 1'
_symmetry_Int_Tables_number 1
loop_
_symmetry_equiv_pos_as_xyz
'x,y,z'
loop_
_atom_site_label
_atom_site_fract_x
_atom_site_fract_y
_atom_site_fract_z
_atom_site_occupancy
Bi1 0.0000 0.0000 0.0000 1
P1 0.5000 0.5000 0.0000 1
Ru1 0.5000 0.5000 0.5000 1
O1 0.0000 0.5000 0.5000 1
O2 0.5000 0.0000 0.5000 1
```

Top 6 peaks for 2θ from 10° to 80°, sorted by position:
Position (°2θ)	I/Imax
28.8	100.0
32.1	46.2
35.9	25.3
46.0	24.9
48.9	29.3
55.2	34.5

---

Entry 6:
For SrBi6P4O20, a DFT-relaxed cell (PBE, Alexandria) gives the simulated powder diffractogram in this record (Cu Kα).
Neutral-atom scattering factors, no anomalous dispersion.

```
data_SrBi6P4O20
_chemical_formula_sum 'Sr1 Bi6 P4 O20'
_cell_length_a 7.0529
_cell_length_b 7.7457
_cell_length_c 9.2738
_cell_angle_alpha 107.00
_cell_angle_beta 93.28
_cell_angle_gamma 112.06
_symmetry_space_group_name_H-M 'P 1'
_symmetry_Int_Tables_number 1
loop_
_symmetry_equiv_pos_as_xyz
'x,y,z'
loop_
_atom_site_label
_atom_site_fract_x
_atom_site_fract_y
_atom_site_fract_z
_atom_site_occupancy
Sr1 0.0000 0.0000 0.0000 1
Bi1 0.1946 0.6968 0.6747 1
Bi2 0.3314 0.1270 0.5103 1
Bi3 0.4381 0.7939 0.0884 1
Bi4 0.5619 0.2061 0.9116 1
Bi5 0.6686 0.8730 0.4897 1
Bi6 0.8054 0.3032 0.3253 1
P1 0.0463 0.2677 0.7557 1
P2 0.3465 0.3957 0.2564 1
P3 0.6535 0.6043 0.7436 1
P4 0.9537 0.7323 0.2443 1
O1 0.0508 0.7926 0.4172 1
O2 0.1211 0.8249 0.1554 1
O3 0.1288 0.2648 0.2795 1
O4 0.1481 0.4976 0.8285 1
O5 0.2108 0.1774 0.7577 1
O6 0.3200 0.9065 0.9032 1
O7 0.3523 0.3193 0.0834 1
O8 0.3797 0.6168 0.3092 1
O9 0.4478 0.9739 0.6378 1
O10 0.4845 0.6277 0.6442 1
O11 0.5155 0.3723 0.3558 1
O12 0.5522 0.0261 0.3622 1
O13 0.6203 0.3832 0.6908 1
O14 0.6477 0.6807 0.9166 1
O15 0.6800 0.0935 0.0968 1
O16 0.7892 0.8226 0.2423 1
O17 0.8519 0.5024 0.1715 1
O18 0.8712 0.7352 0.7205 1
O19 0.8789 0.1751 0.8446 1
O20 0.9492 0.2074 0.5828 1
```

Top 6 peaks for 2θ from 10° to 80°, sorted by position:
Position (°2θ)	I/Imax
27.1	100.0
27.4	67.0
27.9	64.9
31.5	40.9
32.1	40.9
32.7	47.2

---

Entry 7:
For Sr6Bi2PO, a DFT-relaxed cell (PBE, Alexandria) gives the simulated powder diffractogram in this record (Cu Kα).
Neutral-atom scattering factors, no anomalous dispersion.

```
data_Sr6Bi2PO
_chemical_formula_sum 'Sr6 Bi2 P1 O1'
_cell_length_a 5.6122
_cell_length_b 5.6122
_cell_length_c 10.8181
_cell_angle_alpha 90.00
_cell_angle_beta 90.00
_cell_angle_gamma 90.00
_symmetry_space_group_name_H-M 'P 1'
_symmetry_Int_Tables_number 1
loop_
_symmetry_equiv_pos_as_xyz
'x,y,z'
loop_
_atom_site_label
_atom_site_fract_x
_atom_site_fract_y
_atom_site_fract_z
_atom_site_occupancy
Sr1 0.0000 0.0000 0.2297 1
Sr2 0.0000 0.0000 0.7703 1
Sr3 0.0000 0.5000 0.0000 1
Sr4 0.0000 0.5000 0.5000 1
Sr5 0.5000 0.0000 0.0000 1
Sr6 0.5000 0.0000 0.5000 1
Bi1 0.5000 0.5000 0.2318 1
Bi2 0.5000 0.5000 0.7682 1
P1 0.0000 0.0000 0.5000 1
O1 0.0000 0.0000 0.0000 1
```

Top 6 peaks for 2θ from 10° to 80°, sorted by position:
Position (°2θ)	I/Imax
27.9	100.0
31.9	45.2
33.1	17.9
45.7	16.6
46.6	27.3
54.4	31.8

---

Entry 8:
For TiBi6P2O16, a DFT-relaxed cell (PBE, Alexandria) gives the simulated powder diffractogram in this record (Cu Kα).
Neutral-atom scattering factors, no anomalous dispersion.

```
data_TiBi6P2O16
_chemical_formula_sum 'Ti1 Bi6 P2 O16'
_cell_length_a 8.3129
_cell_length_b 8.3129
_cell_length_c 11.4196
_cell_angle_alpha 129.55
_cell_angle_beta 129.55
_cell_angle_gamma 38.49
_symmetry_space_group_name_H-M 'P 1'
_symmetry_Int_Tables_number 1
loop_
_symmetry_equiv_pos_as_xyz
'x,y,z'
loop_
_atom_site_label
_atom_site_fract_x
_atom_site_fract_y
_atom_site_fract_z
_atom_site_occupancy
Ti1 0.0000 0.0000 0.0000 1
Bi1 0.2446 0.3987 0.9807 1
Bi2 0.2942 0.3749 0.3243 1
Bi3 0.6013 0.7554 0.0193 1
Bi4 0.6251 0.7058 0.6757 1
Bi5 0.9551 0.0369 0.6581 1
Bi6 0.9631 0.0449 0.3419 1
P1 0.4002 0.3596 0.7358 1
P2 0.6404 0.5998 0.2642 1
O1 0.0633 0.6272 0.1737 1
O2 0.1950 0.0972 0.0704 1
O3 0.2085 0.7915 0.5000 1
O4 0.2505 0.6643 0.8373 1
O5 0.2811 0.2522 0.7030 1
O6 0.3357 0.7495 0.1627 1
O7 0.3728 0.9367 0.8263 1
O8 0.4115 0.3207 0.5904 1
O9 0.5733 0.1253 0.1806 1
O10 0.6793 0.5885 0.4096 1
O11 0.7066 0.1994 0.8434 1
O12 0.7196 0.2804 0.5000 1
O13 0.7478 0.7189 0.2970 1
O14 0.8006 0.2934 0.1566 1
O15 0.8747 0.4267 0.8194 1
O16 0.9028 0.8050 0.9296 1
```

Top 6 peaks for 2θ from 10° to 80°, sorted by position:
Position (°2θ)	I/Imax
11.3	65.3
28.3	100.0
28.6	96.8
31.8	28.5
32.7	29.1
46.3	32.4

---

Entry 9:
For Ti3Bi2P6O24, a DFT-relaxed cell (PBE, Alexandria) gives the simulated powder diffractogram in this record (Cu Kα).
Neutral-atom scattering factors, no anomalous dispersion.

```
data_Ti3Bi2P6O24
_chemical_formula_sum 'Ti3 Bi2 P6 O24'
_cell_length_a 9.0481
_cell_length_b 9.0481
_cell_length_c 9.0481
_cell_angle_alpha 56.31
_cell_angle_beta 56.31
_cell_angle_gamma 56.31
_symmetry_space_group_name_H-M 'P 1'
_symmetry_Int_Tables_number 1
loop_
_symmetry_equiv_pos_as_xyz
'x,y,z'
loop_
_atom_site_label
_atom_site_fract_x
_atom_site_fract_y
_atom_site_fract_z
_atom_site_occupancy
Ti1 0.0000 0.0000 0.0000 1
Ti2 0.1998 0.1998 0.1998 1
Ti3 0.6803 0.6803 0.6803 1
Bi1 0.3670 0.3670 0.3670 1
Bi2 0.8375 0.8375 0.8375 1
P1 0.0765 0.8225 0.3872 1
P2 0.2574 0.6109 0.9068 1
P3 0.3872 0.0765 0.8225 1
P4 0.6109 0.9068 0.2574 1
P5 0.8225 0.3872 0.0765 1
P6 0.9068 0.2574 0.6109 1
O1 0.0286 0.0952 0.7360 1
O2 0.0499 0.3058 0.4028 1
O3 0.0952 0.7360 0.0286 1
O4 0.1175 0.9779 0.3682 1
O5 0.1922 0.6505 0.7619 1
O6 0.2567 0.9689 0.9138 1
O7 0.2649 0.6572 0.3398 1
O8 0.3058 0.4028 0.0499 1
O9 0.3398 0.2649 0.6572 1
O10 0.3682 0.1175 0.9779 1
O11 0.4028 0.0499 0.3058 1
O12 0.4467 0.6517 0.8168 1
O13 0.5909 0.9369 0.7440 1
O14 0.6505 0.7619 0.1922 1
O15 0.6517 0.8168 0.4467 1
O16 0.6572 0.3398 0.2649 1
O17 0.7360 0.0286 0.0952 1
O18 0.7440 0.5909 0.9369 1
O19 0.7619 0.1922 0.6505 1
O20 0.8168 0.4467 0.6517 1
O21 0.9138 0.2567 0.9689 1
O22 0.9369 0.7440 0.5909 1
O23 0.9689 0.9138 0.2567 1
O24 0.9779 0.3682 0.1175 1
```

Top 6 peaks for 2θ from 10° to 80°, sorted by position:
Position (°2θ)	I/Imax
14.3	98.2
20.8	97.6
23.9	52.4
25.3	46.8
31.5	100.0
33.0	43.2

---

Entry 10:
For TiBiP3O12, a DFT-relaxed cell (PBE, Alexandria) gives the simulated powder diffractogram in this record (Cu Kα).
Neutral-atom scattering factors, no anomalous dispersion.

```
data_TiBiP3O12
_chemical_formula_sum 'Ti2 Bi2 P6 O24'
_cell_length_a 9.4071
_cell_length_b 9.4071
_cell_length_c 9.4071
_cell_angle_alpha 53.59
_cell_angle_beta 53.59
_cell_angle_gamma 53.59
_symmetry_space_group_name_H-M 'P 1'
_symmetry_Int_Tables_number 1
loop_
_symmetry_equiv_pos_as_xyz
'x,y,z'
loop_
_atom_site_label
_atom_site_fract_x
_atom_site_fract_y
_atom_site_fract_z
_atom_site_occupancy
Ti1 0.0000 0.0000 0.0000 1
Ti2 0.5000 0.5000 0.5000 1
Bi1 0.3030 0.3030 0.3030 1
Bi2 0.8030 0.8030 0.8030 1
P1 0.1183 0.3902 0.6961 1
P2 0.1961 0.8902 0.6183 1
P3 0.3902 0.6961 0.1183 1
P4 0.6183 0.1961 0.8902 1
P5 0.6961 0.1183 0.3902 1
P6 0.8902 0.6183 0.1961 1
O1 0.0057 0.9413 0.6151 1
O2 0.0343 0.4243 0.2813 1
O3 0.1115 0.1917 0.8359 1
O4 0.1151 0.4413 0.5057 1
O5 0.1604 0.9034 0.7919 1
O6 0.1917 0.8359 0.1115 1
O7 0.2813 0.0343 0.4243 1
O8 0.2919 0.4034 0.6604 1
O9 0.3359 0.6917 0.6115 1
O10 0.4034 0.6604 0.2919 1
O11 0.4243 0.2813 0.0343 1
O12 0.4413 0.5057 0.1151 1
O13 0.5057 0.1151 0.4413 1
O14 0.5343 0.7813 0.9243 1
O15 0.6115 0.3359 0.6917 1
O16 0.6151 0.0057 0.9413 1
O17 0.6604 0.2919 0.4034 1
O18 0.6917 0.6115 0.3359 1
O19 0.7813 0.9243 0.5343 1
O20 0.7919 0.1604 0.9034 1
O21 0.8359 0.1115 0.1917 1
O22 0.9034 0.7919 0.1604 1
O23 0.9243 0.5343 0.7813 1
O24 0.9413 0.6151 0.0057 1
```

Top 6 peaks for 2θ from 10° to 80°, sorted by position:
Position (°2θ)	I/Imax
14.1	100.0
19.1	75.1
20.9	49.2
23.7	28.8
28.5	41.4
30.7	68.9